[1]
Computed X-ray powder pattern
Compound: SnSb2Pt9
Radiation: Cu Kα, 1.54184 Å
Structure: a PBE-relaxed structure
Peak positions follow from Bragg's law for the DFT cell and can differ from measured ones.

Cell and atoms:
Unit cell a=4.1303 b=3.9266 c=12.6787 alpha=90.00 beta=93.89 gamma=90.00
Element x y z (fractional)
Sn  0.0000  0.0000  0.0000
Sb  0.0438  0.0000  0.3338
Sb  0.9562  0.0000  0.6662
Pt  0.0000  0.5000  0.5000
Pt  0.0419  0.5000  0.1645
Pt  0.4328  0.5000  0.6769
Pt  0.4660  0.0000  0.8406
Pt  0.5000  0.0000  0.5000
Pt  0.5000  0.5000  0.0000
Pt  0.5340  0.0000  0.1594
Pt  0.5672  0.5000  0.3231
Pt  0.9581  0.5000  0.8355

Main lines, in order of rising 2θ (2θ = 10–90°):
37.3°, rel. 100
39.0°, rel. 97
42.9°, rel. 37
43.9°, rel. 28
46.2°, rel. 31
64.9°, rel. 22
65.7°, rel. 17
73.8°, rel. 12
77.1°, rel. 14
80.8°, rel. 12

---

[2]
Computed X-ray powder pattern
Compound: Sr2Sb2Pt
Radiation: Cu Kα, 1.54184 Å
Structure: a PBE-relaxed structure
Peak positions follow from Bragg's law for the DFT cell and can differ from measured ones.

Cell and atoms:
Unit cell a=6.3933 b=6.3933 c=12.0185 alpha=113.94 beta=113.94 gamma=43.04
Element x y z (fractional)
Sr  0.0892  0.0892  0.3964
Sr  0.3008  0.3008  0.8581
Sr  0.6992  0.6992  0.1419
Sr  0.9108  0.9108  0.6036
Sb  0.0449  0.0449  0.9055
Sb  0.3691  0.3691  0.3770
Sb  0.6309  0.6309  0.6230
Sb  0.9551  0.9551  0.0945
Pt  0.4367  0.4367  0.1898
Pt  0.5633  0.5633  0.8102

Main lines, in order of rising 2θ (2θ = 10–90°):
16.6°, rel. 46
21.5°, rel. 33
28.7°, rel. 100
29.6°, rel. 49
30.1°, rel. 46
35.4°, rel. 30
37.1°, rel. 90
38.0°, rel. 29
38.4°, rel. 56
57.7°, rel. 30

---

[3]
Computed X-ray powder pattern
Compound: Sr2Sb3Pt3
Radiation: Cu Kα, 1.54184 Å
Structure: a PBE-relaxed structure
Peak positions follow from Bragg's law for the DFT cell and can differ from measured ones.

Cell and atoms:
Unit cell a=7.1023 b=7.1023 c=21.5088 alpha=90.00 beta=90.00 gamma=90.00
Element x y z (fractional)
Sr  0.0000  0.0000  0.2409
Sr  0.0000  0.0000  0.7591
Sb  0.0000  0.0000  0.0000
Sb  0.0000  0.0000  0.3877
Sb  0.0000  0.0000  0.6123
Pt  0.0000  0.0000  0.1157
Pt  0.0000  0.0000  0.5000
Pt  0.0000  0.0000  0.8843

Main lines, in order of rising 2θ (2θ = 10–90°):
12.5°, rel. 100
17.7°, rel. 49
25.1°, rel. 20
28.1°, rel. 31
35.7°, rel. 21
38.0°, rel. 18
40.1°, rel. 12
42.2°, rel. 9
44.1°, rel. 15
58.1°, rel. 10

---

[4]
Computed X-ray powder pattern
Compound: SrSb3Pt
Radiation: Cu Kα, 1.54184 Å
Structure: a PBE-relaxed structure
Peak positions follow from Bragg's law for the DFT cell and can differ from measured ones.

Cell and atoms:
Unit cell a=6.4006 b=6.4455 c=6.7656 alpha=90.00 beta=90.06 gamma=90.00
Element x y z (fractional)
Sr  0.1661  0.0000  0.2482
Sr  0.8339  0.5000  0.7518
Sb  0.0990  0.9364  0.7484
Sb  0.3188  0.5374  0.0121
Sb  0.3186  0.5388  0.4889
Sb  0.6812  0.0374  0.9879
Sb  0.6814  0.0388  0.5111
Sb  0.9010  0.4364  0.2516
Pt  0.3890  0.2307  0.7499
Pt  0.6110  0.7307  0.2501

Main lines, in order of rising 2θ (2θ = 10–90°):
19.0°, rel. 44
23.6°, rel. 52
31.1°, rel. 19
31.2°, rel. 56
33.0°, rel. 100
33.8°, rel. 16
41.2°, rel. 56
42.0°, rel. 18
44.5°, rel. 28
58.6°, rel. 21

---

[5]
Computed X-ray powder pattern
Compound: Tb3SbPt12
Radiation: Cu Kα, 1.54184 Å
Structure: a PBE-relaxed structure
Peak positions follow from Bragg's law for the DFT cell and can differ from measured ones.

Cell and atoms:
Unit cell a=4.1225 b=4.1225 c=16.4354 alpha=90.00 beta=90.00 gamma=90.00
Element x y z (fractional)
Tb  0.0000  0.0000  0.0000
Tb  0.0000  0.0000  0.2492
Tb  0.0000  0.0000  0.7508
Sb  0.0000  0.0000  0.5000
Pt  0.0000  0.5000  0.1258
Pt  0.0000  0.5000  0.3786
Pt  0.0000  0.5000  0.6214
Pt  0.0000  0.5000  0.8742
Pt  0.5000  0.0000  0.1258
Pt  0.5000  0.0000  0.3786
Pt  0.5000  0.0000  0.6214
Pt  0.5000  0.0000  0.8742
Pt  0.5000  0.5000  0.0000
Pt  0.5000  0.5000  0.2538
Pt  0.5000  0.5000  0.5000
Pt  0.5000  0.5000  0.7462

Main lines, in order of rising 2θ (2θ = 10–90°):
21.6°, rel. 1
30.7°, rel. 1
37.8°, rel. 100
43.9°, rel. 33
44.1°, rel. 16
63.9°, rel. 11
64.0°, rel. 22
76.7°, rel. 26
76.9°, rel. 13
80.9°, rel. 11

---

[6]
Computed X-ray powder pattern
Compound: TbSb2Pt7
Radiation: Cu Kα, 1.54184 Å
Structure: a PBE-relaxed structure
Peak positions follow from Bragg's law for the DFT cell and can differ from measured ones.

Cell and atoms:
Unit cell a=11.8627 b=11.8627 c=11.8627 alpha=160.29 beta=160.29 gamma=28.01
Element x y z (fractional)
Tb  0.0000  0.0000  0.0000
Sb  0.3301  0.3301  0.0000
Sb  0.6699  0.6699  0.0000
Pt  0.0925  0.5925  0.5000
Pt  0.2500  0.7500  0.5000
Pt  0.4075  0.9075  0.5000
Pt  0.5000  0.5000  0.0000
Pt  0.5925  0.0925  0.5000
Pt  0.7500  0.2500  0.5000
Pt  0.9075  0.4075  0.5000

Main lines, in order of rising 2θ (2θ = 10–90°):
23.2°, rel. 9
31.1°, rel. 14
39.2°, rel. 100
44.6°, rel. 36
47.4°, rel. 12
65.0°, rel. 12
67.1°, rel. 17
78.6°, rel. 28
82.6°, rel. 7
84.2°, rel. 9

---

[7]
Computed X-ray powder pattern
Compound: TcSbPt
Radiation: Cu Kα, 1.54184 Å
Structure: a PBE-relaxed structure
Peak positions follow from Bragg's law for the DFT cell and can differ from measured ones.

Cell and atoms:
Unit cell a=3.0994 b=4.0469 c=8.3281 alpha=90.00 beta=90.00 gamma=90.00
Element x y z (fractional)
Tc  0.0000  0.0000  0.0000
Tc  0.5000  0.5000  0.5000
Sb  0.0000  0.0000  0.3262
Sb  0.5000  0.5000  0.8262
Pt  0.0000  0.0000  0.6493
Pt  0.5000  0.5000  0.1493

Main lines, in order of rising 2θ (2θ = 10–90°):
36.5°, rel. 100
39.4°, rel. 80
43.8°, rel. 59
44.8°, rel. 28
59.7°, rel. 12
64.4°, rel. 37
73.8°, rel. 25
77.1°, rel. 11
77.6°, rel. 11
79.2°, rel. 20

---

[8]
Computed X-ray powder pattern
Compound: Y8Sb3Te4Pt
Radiation: Cu Kα, 1.54184 Å
Structure: a PBE-relaxed structure
Peak positions follow from Bragg's law for the DFT cell and can differ from measured ones.

Cell and atoms:
Unit cell a=8.7721 b=8.7721 c=8.7721 alpha=59.35 beta=59.35 gamma=59.35
Element x y z (fractional)
Y  0.2463  0.2463  0.2463
Y  0.2624  0.7327  0.7327
Y  0.2673  0.2673  0.7376
Y  0.2673  0.7376  0.2673
Y  0.7327  0.2624  0.7327
Y  0.7327  0.7327  0.2624
Y  0.7376  0.2673  0.2673
Y  0.7537  0.7537  0.7537
Sb  0.0000  0.0000  0.5000
Sb  0.0000  0.5000  0.0000
Sb  0.5000  0.0000  0.0000
Te  0.0000  0.0000  0.0000
Te  0.0000  0.5000  0.5000
Te  0.5000  0.0000  0.5000
Te  0.5000  0.5000  0.0000
Pt  0.5000  0.5000  0.5000

Main lines, in order of rising 2θ (2θ = 10–90°):
28.9°, rel. 100
41.2°, rel. 37
41.6°, rel. 37
50.7°, rel. 6
51.5°, rel. 19
60.0°, rel. 12
67.6°, rel. 15
68.2°, rel. 16
75.6°, rel. 11
75.9°, rel. 6